No. 1
Structure and simulated powder diffractogram of Zr2Si3Au2 (a PBE-relaxed structure; CuKα).

Principal peaks in the range 2θ = 10–80°, sorted by position:
2θ/deg, intensity
28.15, 100
37.39, 80
42.91, 58
58.20, 22
61.91, 25
74.97, 21

Structural model:
Lattice parameters (Å, degrees): 8.867 8.867 8.867 27.50 27.50 27.50
Fractional coordinates of all 7 atoms:
Zr (0.000, 0.000, 0.000)
Zr (0.494, 0.494, 0.494)
Si (0.390, 0.390, 0.390)
Si (0.612, 0.612, 0.612)
Si (0.862, 0.862, 0.862)
Au (0.246, 0.246, 0.246)
Au (0.748, 0.748, 0.748)



No. 2
Structure and simulated powder diffractogram of TbSmAu4 (a PBE-relaxed structure; CuKα).

Principal peaks in the range 2θ = 10–80°, sorted by position:
2θ/deg, intensity
33.66, 70
38.07, 100
48.34, 26
63.14, 46
70.77, 8
71.55, 16

Structural model:
Lattice parameters (Å, degrees): 3.765 3.765 9.108 90.00 90.00 90.00
Fractional coordinates of all 6 atoms:
Tb (0.000, 0.000, 0.000)
Sm (0.500, 0.500, 0.500)
Au (0.000, 0.000, 0.331)
Au (0.000, 0.000, 0.669)
Au (0.500, 0.500, 0.163)
Au (0.500, 0.500, 0.837)



No. 3
Structure and simulated powder diffractogram of TbSmAu6 (a PBE-relaxed structure; CuKα).

Principal peaks in the range 2θ = 10–80°, sorted by position:
2θ/deg, intensity
33.46, 26
35.46, 41
38.01, 100
39.18, 49
65.36, 21
73.05, 36

Structural model:
Lattice parameters (Å, degrees): 5.063 6.266 5.162 90.00 90.00 90.00
Fractional coordinates of all 8 atoms:
Tb (0.000, 0.000, 0.000)
Sm (0.500, 0.500, 0.686)
Au (0.000, 0.254, 0.506)
Au (0.000, 0.500, 0.018)
Au (0.000, 0.746, 0.506)
Au (0.500, 0.000, 0.676)
Au (0.500, 0.239, 0.181)
Au (0.500, 0.761, 0.181)



No. 4
Structure and simulated powder diffractogram of SmYTlAu2 (a PBE-relaxed structure; CuKα).

Principal peaks in the range 2θ = 10–80°, sorted by position:
2θ/deg, intensity
32.14, 100
34.59, 45
35.96, 82
39.37, 41
44.08, 35
63.58, 32

Structural model:
Lattice parameters (Å, degrees): 3.611 4.577 14.903 90.00 90.00 90.00
Fractional coordinates of all 10 atoms:
Sm (0.000, 0.000, 0.000)
Sm (0.000, 0.500, 0.500)
Y (0.000, 0.000, 0.259)
Y (0.000, 0.500, 0.759)
Tl (0.500, 0.000, 0.630)
Tl (0.500, 0.500, 0.130)
Au (0.500, 0.000, 0.432)
Au (0.500, 0.000, 0.824)
Au (0.500, 0.500, 0.324)
Au (0.500, 0.500, 0.932)



No. 5
Structure and simulated powder diffractogram of Sn2Au (a PBE-relaxed structure; CuKα).

Principal peaks in the range 2θ = 10–80°, sorted by position:
2θ/deg, intensity
19.24, 53
28.39, 48
29.90, 71
31.86, 64
41.88, 48
42.86, 100

Structural model:
Lattice parameters (Å, degrees): 7.001 7.146 11.954 90.00 90.00 90.00
Fractional coordinates of all 24 atoms:
Sn (0.129, 0.035, 0.175)
Sn (0.129, 0.465, 0.675)
Sn (0.146, 0.241, 0.912)
Sn (0.146, 0.259, 0.412)
Sn (0.354, 0.741, 0.912)
Sn (0.354, 0.759, 0.412)
Sn (0.371, 0.535, 0.175)
Sn (0.371, 0.965, 0.675)
Sn (0.629, 0.035, 0.325)
Sn (0.629, 0.465, 0.825)
Sn (0.646, 0.241, 0.588)
Sn (0.646, 0.259, 0.088)
Sn (0.854, 0.741, 0.588)
Sn (0.854, 0.759, 0.088)
Sn (0.871, 0.535, 0.325)
Sn (0.871, 0.965, 0.825)
Au (0.014, 0.103, 0.616)
Au (0.014, 0.397, 0.116)
Au (0.486, 0.603, 0.616)
Au (0.486, 0.897, 0.116)
Au (0.514, 0.103, 0.884)
Au (0.514, 0.397, 0.384)
Au (0.986, 0.603, 0.884)
Au (0.986, 0.897, 0.384)



No. 6
Structure and simulated powder diffractogram of Sn5Au4 (a PBE-relaxed structure; CuKα).

Principal peaks in the range 2θ = 10–80°, sorted by position:
2θ/deg, intensity
10.74, 40
31.72, 36
33.58, 37
37.56, 32
38.43, 44
43.04, 100

Structural model:
Lattice parameters (Å, degrees): 5.642 5.642 8.241 90.00 90.00 120.00
Fractional coordinates of all 9 atoms:
Sn (0.000, 0.000, 0.000)
Sn (0.333, 0.667, 0.315)
Sn (0.333, 0.667, 0.685)
Sn (0.667, 0.333, 0.315)
Sn (0.667, 0.333, 0.685)
Au (0.000, 0.000, 0.500)
Au (0.000, 0.500, 0.000)
Au (0.500, 0.000, 0.000)
Au (0.500, 0.500, 0.000)



No. 7
Structure and simulated powder diffractogram of Sn5Au2 (a PBE-relaxed structure; CuKα).

Principal peaks in the range 2θ = 10–80°, sorted by position:
2θ/deg, intensity
24.87, 17
35.24, 95
35.68, 100
51.02, 34
63.81, 35
64.09, 19

Structural model:
Lattice parameters (Å, degrees): 8.858 8.858 8.858 33.01 33.01 33.01
Fractional coordinates of all 7 atoms:
Sn (0.000, 0.000, 0.000)
Sn (0.117, 0.117, 0.117)
Sn (0.243, 0.243, 0.243)
Sn (0.496, 0.496, 0.496)
Sn (0.631, 0.631, 0.631)
Au (0.378, 0.378, 0.378)
Au (0.865, 0.865, 0.865)



No. 8
Structure and simulated powder diffractogram of SrSn2Au (a PBE-relaxed structure; CuKα).

Principal peaks in the range 2θ = 10–80°, sorted by position:
2θ/deg, intensity
20.40, 5
23.60, 5
33.62, 100
48.28, 18
60.12, 39
70.68, 12

Structural model:
Lattice parameters (Å, degrees): 7.539 7.539 7.539 90.00 90.00 90.00
Fractional coordinates of all 16 atoms:
Sr (0.000, 0.000, 0.000)
Sr (0.000, 0.500, 0.500)
Sr (0.500, 0.000, 0.500)
Sr (0.500, 0.500, 0.000)
Sn (0.000, 0.000, 0.500)
Sn (0.000, 0.500, 0.000)
Sn (0.250, 0.250, 0.750)
Sn (0.250, 0.750, 0.250)
Sn (0.500, 0.000, 0.000)
Sn (0.500, 0.500, 0.500)
Sn (0.750, 0.250, 0.250)
Sn (0.750, 0.750, 0.750)
Au (0.250, 0.250, 0.250)
Au (0.250, 0.750, 0.750)
Au (0.750, 0.250, 0.750)
Au (0.750, 0.750, 0.250)



No. 9
Structure and simulated powder diffractogram of SrSn3Au3 (a PBE-relaxed structure; CuKα).

Principal peaks in the range 2θ = 10–80°, sorted by position:
2θ/deg, intensity
14.77, 20
30.64, 34
31.36, 100
38.36, 46
39.76, 27
41.64, 76

Structural model:
Lattice parameters (Å, degrees): 4.693 7.768 9.445 90.00 90.00 90.00
Fractional coordinates of all 14 atoms:
Sr (0.250, 0.250, 0.219)
Sr (0.750, 0.750, 0.781)
Sn (0.250, 0.043, 0.619)
Sn (0.250, 0.457, 0.619)
Sn (0.250, 0.750, 0.118)
Sn (0.750, 0.250, 0.882)
Sn (0.750, 0.543, 0.381)
Sn (0.750, 0.957, 0.381)
Au (0.250, 0.026, 0.911)
Au (0.250, 0.474, 0.911)
Au (0.250, 0.750, 0.430)
Au (0.750, 0.250, 0.570)
Au (0.750, 0.526, 0.089)
Au (0.750, 0.974, 0.089)



No. 10
Structure and simulated powder diffractogram of SnTe3Au2 (a PBE-relaxed structure; CuKα).

Principal peaks in the range 2θ = 10–80°, sorted by position:
2θ/deg, intensity
10.58, 52
28.49, 60
33.06, 100
37.56, 29
39.63, 41
43.71, 31

Structural model:
Lattice parameters (Å, degrees): 8.616 8.616 9.351 90.00 90.00 152.18
Fractional coordinates of all 12 atoms:
Sn (0.241, 0.759, 0.750)
Sn (0.759, 0.241, 0.250)
Te (0.085, 0.915, 0.250)
Te (0.345, 0.655, 0.055)
Te (0.345, 0.655, 0.445)
Te (0.655, 0.345, 0.555)
Te (0.655, 0.345, 0.945)
Te (0.915, 0.085, 0.750)
Au (0.000, 0.000, 0.000)
Au (0.000, 0.000, 0.500)
Au (0.470, 0.530, 0.250)
Au (0.530, 0.470, 0.750)